(1)
Simulated PXRD pattern
Compound: NaSn4Au6
Radiation: Cu Kα X-rays
Structure: a DFT-relaxed cell (PBE, Alexandria)

Structural model:
a b c (Å): 7.3760 7.3760 7.3760
angles (deg): 123.72 123.72 83.67
Element x y z (fractional)
1 Na 0.0000 0.0000 0.0000
2 Sn 0.1472 0.5609 0.0000
3 Sn 0.4391 0.4391 0.5863
4 Sn 0.5609 0.1472 0.0000
5 Sn 0.8528 0.8528 0.4137
6 Au 0.0000 0.5000 0.5000
7 Au 0.1824 0.1824 0.6087
8 Au 0.4262 0.8176 0.0000
9 Au 0.5000 0.0000 0.5000
10 Au 0.5738 0.5738 0.3913
11 Au 0.8176 0.4262 0.0000

Largest 10 diffraction maxima, by angle, 10° ≤ 2θ ≤ 90°:
two_theta, I/Imax
15.1, 37.4
24.3, 44.6
25.6, 34.5
30.4, 30.8
36.5, 58.9
37.5, 22.4
39.7, 31.6
41.0, 26.3
41.9, 100.0
66.4, 24.1

(2)
Simulated PXRD pattern
Compound: DyYMgTl
Radiation: Cu Kα X-rays
Structure: a DFT-relaxed cell (PBE, Alexandria)

Structural model:
a b c (Å): 7.5499 7.5499 7.5499
angles (deg): 90.00 90.00 90.00
Element x y z (fractional)
1 Dy 0.0000 0.0000 0.0000
2 Dy 0.0000 0.5000 0.5000
3 Dy 0.5000 0.0000 0.5000
4 Dy 0.5000 0.5000 0.0000
5 Y 0.0000 0.0000 0.5000
6 Y 0.0000 0.5000 0.0000
7 Y 0.5000 0.0000 0.0000
8 Y 0.5000 0.5000 0.5000
9 Mg 0.2500 0.2500 0.7500
10 Mg 0.2500 0.7500 0.2500
11 Mg 0.7500 0.2500 0.2500
12 Mg 0.7500 0.7500 0.7500
13 Tl 0.2500 0.2500 0.2500
14 Tl 0.2500 0.7500 0.7500
15 Tl 0.7500 0.2500 0.7500
16 Tl 0.7500 0.7500 0.2500

Largest 10 diffraction maxima, by angle, 10° ≤ 2θ ≤ 90°:
two_theta, I/Imax
20.4, 34.6
33.6, 100.0
39.6, 19.9
48.2, 18.2
52.9, 8.8
60.0, 37.7
64.1, 6.7
70.6, 11.6
74.3, 6.6
80.5, 16.2

(3)
Simulated PXRD pattern
Compound: Sr2Sb4Rh3
Radiation: Cu Kα X-rays
Structure: a DFT-relaxed cell (PBE, Alexandria)

Structural model:
a b c (Å): 8.6096 7.3890 6.1319
angles (deg): 78.50 57.24 44.26
Element x y z (fractional)
1 Sr 0.1304 0.1304 0.8696
2 Sr 0.8696 0.8696 0.1304
3 Sb 0.1885 0.5149 0.4851
4 Sb 0.4851 0.8115 0.1885
5 Sb 0.5149 0.1885 0.8115
6 Sb 0.8115 0.4851 0.5149
7 Rh 0.0000 0.0000 0.5000
8 Rh 0.5000 0.5000 0.0000
9 Rh 0.5000 0.5000 0.5000

Largest 10 diffraction maxima, by angle, 10° ≤ 2θ ≤ 90°:
two_theta, I/Imax
13.1, 16.4
18.2, 20.5
29.7, 25.3
29.9, 29.7
35.4, 100.0
36.8, 25.3
40.1, 53.1
43.7, 15.5
56.5, 25.4
60.4, 20.2

(4)
Simulated PXRD pattern
Compound: Sm2CrFe16
Radiation: Cu Kα X-rays
Structure: a DFT-relaxed cell (PBE, Alexandria)

Structural model:
a b c (Å): 6.4216 6.4216 6.4216
angles (deg): 82.35 82.35 82.35
Element x y z (fractional)
1 Sm 0.0000 0.0000 0.0000
2 Sm 0.3125 0.3125 0.3125
3 Cr 0.5673 0.5673 0.5673
4 Fe 0.1600 0.6573 0.6573
5 Fe 0.3196 0.3196 0.8143
6 Fe 0.3196 0.8143 0.3196
7 Fe 0.3597 0.6589 0.9584
8 Fe 0.3597 0.9584 0.6589
9 Fe 0.5023 0.9980 0.9980
10 Fe 0.6573 0.1600 0.6573
11 Fe 0.6573 0.6573 0.1600
12 Fe 0.6589 0.3597 0.9584
13 Fe 0.6589 0.9584 0.3597
14 Fe 0.7500 0.7500 0.7500
15 Fe 0.8143 0.3196 0.3196
16 Fe 0.9584 0.3597 0.6589
17 Fe 0.9584 0.6589 0.3597
18 Fe 0.9980 0.5023 0.9980
19 Fe 0.9980 0.9980 0.5023

Largest 10 diffraction maxima, by angle, 10° ≤ 2θ ≤ 90°:
two_theta, I/Imax
30.1, 37.3
36.8, 39.8
37.8, 21.5
42.8, 54.4
42.9, 100.0
43.4, 30.2
48.3, 18.7
62.6, 15.4
70.5, 16.7
78.3, 16.6

(5)
Simulated PXRD pattern
Compound: Na2NpZn2O6
Radiation: Cu Kα X-rays
Structure: a DFT-relaxed cell (PBE, Alexandria)

Structural model:
a b c (Å): 5.4039 5.4039 5.6885
angles (deg): 90.00 90.00 120.00
Element x y z (fractional)
1 Na 0.3333 0.6667 0.0000
2 Na 0.6667 0.3333 0.0000
3 Np 0.0000 0.0000 0.5000
4 Zn 0.3333 0.6667 0.5000
5 Zn 0.6667 0.3333 0.5000
6 O 0.0000 0.3266 0.7014
7 O 0.0000 0.6734 0.2986
8 O 0.3266 0.0000 0.7014
9 O 0.3266 0.3266 0.2986
10 O 0.6734 0.0000 0.2986
11 O 0.6734 0.6734 0.7014

Largest 10 diffraction maxima, by angle, 10° ≤ 2θ ≤ 90°:
two_theta, I/Imax
15.6, 100.0
19.0, 26.9
24.6, 54.3
31.5, 16.8
33.2, 53.1
36.8, 59.4
46.3, 64.2
59.2, 18.1
59.6, 18.7
61.7, 15.9

(6)
Simulated PXRD pattern
Compound: K2HfAgSe4
Radiation: Cu Kα X-rays
Structure: a DFT-relaxed cell (PBE, Alexandria)

Structural model:
a b c (Å): 7.6275 3.9486 8.0536
angles (deg): 90.00 112.32 90.00
Element x y z (fractional)
1 K 0.0000 0.0000 0.0000
2 K 0.5000 0.5000 0.0000
3 Hf 0.0000 0.5000 0.5000
4 Ag 0.5000 0.0000 0.5000
5 Se 0.1959 0.0000 0.7176
6 Se 0.2600 0.5000 0.3383
7 Se 0.7400 0.5000 0.6617
8 Se 0.8041 0.0000 0.2824

Largest 10 diffraction maxima, by angle, 10° ≤ 2θ ≤ 90°:
two_theta, I/Imax
11.9, 100.0
27.4, 54.1
30.5, 88.3
38.8, 24.4
40.7, 26.4
41.4, 11.5
42.4, 39.2
44.9, 10.5
46.0, 16.2
54.4, 15.3

(7)
Simulated PXRD pattern
Compound: CuHg2Pb
Radiation: Cu Kα X-rays
Structure: a DFT-relaxed cell (PBE, Alexandria)

Structural model:
a b c (Å): 3.6208 3.6208 26.0741
angles (deg): 90.00 90.00 120.00
Element x y z (fractional)
1 Cu 0.0000 0.0000 0.0000
2 Cu 0.3333 0.6667 0.6667
3 Cu 0.6667 0.3333 0.3333
4 Hg 0.0000 0.0000 0.2665
5 Hg 0.0000 0.0000 0.5107
6 Hg 0.3333 0.6667 0.1774
7 Hg 0.3333 0.6667 0.9331
8 Hg 0.6667 0.3333 0.5998
9 Hg 0.6667 0.3333 0.8441
10 Pb 0.0000 0.0000 0.7403
11 Pb 0.3333 0.6667 0.4069
12 Pb 0.6667 0.3333 0.0736

Largest 10 diffraction maxima, by angle, 10° ≤ 2θ ≤ 90°:
two_theta, I/Imax
30.9, 13.4
31.7, 100.0
33.3, 17.8
39.9, 42.8
50.4, 29.9
54.3, 12.0
60.3, 12.7
60.8, 15.9
67.3, 12.1
82.8, 13.7

(8)
Simulated PXRD pattern
Compound: Li3Ga2Au3
Radiation: Cu Kα X-rays
Structure: a DFT-relaxed cell (PBE, Alexandria)

Structural model:
a b c (Å): 5.1653 5.1653 13.4931
angles (deg): 90.00 90.00 129.63
Element x y z (fractional)
1 Li 0.0679 0.9321 0.5959
2 Li 0.0679 0.9321 0.9041
3 Li 0.2809 0.7191 0.7500
4 Li 0.7191 0.2809 0.2500
5 Li 0.9321 0.0679 0.0959
6 Li 0.9321 0.0679 0.4041
7 Ga 0.2471 0.7529 0.1039
8 Ga 0.2471 0.7529 0.3961
9 Ga 0.7529 0.2471 0.6039
10 Ga 0.7529 0.2471 0.8961
11 Au 0.3891 0.6109 0.5703
12 Au 0.3891 0.6109 0.9297
13 Au 0.4252 0.5748 0.2500
14 Au 0.5748 0.4252 0.7500
15 Au 0.6109 0.3891 0.0703
16 Au 0.6109 0.3891 0.4297

Largest 10 diffraction maxima, by angle, 10° ≤ 2θ ≤ 90°:
two_theta, I/Imax
22.3, 100.0
27.5, 78.6
30.0, 17.6
40.1, 23.0
40.8, 92.9
41.1, 27.7
46.4, 26.1
50.1, 31.2
58.7, 15.1
74.6, 20.6

(9)
Simulated PXRD pattern
Compound: Cd2AgAu4
Radiation: Cu Kα X-rays
Structure: a DFT-relaxed cell (PBE, Alexandria)

Structural model:
a b c (Å): 6.1301 6.1301 9.4894
angles (deg): 90.00 90.00 53.87
Element x y z (fractional)
1 Cd 0.1528 0.1528 0.0000
2 Cd 0.3472 0.3472 0.5000
3 Cd 0.6528 0.6528 0.5000
4 Cd 0.8472 0.8472 0.0000
5 Ag 0.0000 0.0000 0.5000
6 Ag 0.5000 0.5000 0.0000
7 Au 0.0089 0.4911 0.2500
8 Au 0.1918 0.8082 0.7710
9 Au 0.3082 0.6918 0.2710
10 Au 0.4911 0.0089 0.7500
11 Au 0.5089 0.9911 0.2500
12 Au 0.6918 0.3082 0.7290
13 Au 0.8082 0.1918 0.2290
14 Au 0.9911 0.5089 0.7500

Largest 10 diffraction maxima, by angle, 10° ≤ 2θ ≤ 90°:
two_theta, I/Imax
18.7, 40.2
30.8, 27.1
32.8, 30.4
37.5, 90.7
38.0, 100.0
41.1, 19.2
46.6, 28.1
50.7, 29.5
61.6, 23.0
81.0, 16.0

(10)
Simulated PXRD pattern
Compound: TmTlSb
Radiation: Cu Kα X-rays
Structure: a DFT-relaxed cell (PBE, Alexandria)

Structural model:
a b c (Å): 4.3820 9.0703 6.1942
angles (deg): 90.00 134.90 90.00
Element x y z (fractional)
1 Tm 0.0000 0.1625 0.0000
2 Tm 0.0000 0.8375 0.5000
3 Tl 0.4942 0.4984 0.9052
4 Tl 0.4942 0.5016 0.4052
5 Sb 0.9995 0.1740 0.5003
6 Sb 0.9995 0.8260 0.0003

Largest 10 diffraction maxima, by angle, 10° ≤ 2θ ≤ 90°:
two_theta, I/Imax
28.8, 24.6
29.5, 63.9
30.5, 100.0
35.1, 70.2
41.2, 37.6
41.7, 17.8
42.4, 15.3
49.8, 25.2
51.5, 39.1
59.0, 15.9

(11)
Simulated PXRD pattern
Compound: AlFeSi
Radiation: Cu Kα X-rays
Structure: a DFT-relaxed cell (PBE, Alexandria)

Structural model:
a b c (Å): 3.9633 3.9633 5.3014
angles (deg): 90.00 90.00 90.00
Element x y z (fractional)
1 Al 0.0000 0.5000 0.0000
2 Al 0.5000 0.0000 0.5000
3 Fe 0.0000 0.0000 0.2500
4 Fe 0.0000 0.0000 0.7500
5 Si 0.0000 0.5000 0.5000
6 Si 0.5000 0.0000 0.0000

Largest 10 diffraction maxima, by angle, 10° ≤ 2θ ≤ 90°:
two_theta, I/Imax
22.4, 100.0
41.0, 38.9
45.8, 52.0
47.2, 94.8
51.6, 18.8
63.1, 19.3
66.8, 15.9
71.1, 6.5
85.7, 31.4
88.8, 14.5

(12)
Simulated PXRD pattern
Compound: Ba4Sn6Br19
Radiation: Cu Kα X-rays
Structure: a DFT-relaxed cell (PBE, Alexandria)

Structural model:
a b c (Å): 11.0746 11.0746 11.0746
angles (deg): 109.47 109.47 109.47
Element x y z (fractional)
1 Ba 0.0000 0.0000 0.3102
2 Ba 0.0000 0.3102 0.0000
3 Ba 0.3102 0.0000 0.0000
4 Ba 0.6898 0.6898 0.6898
5 Sn 0.1361 0.5000 0.6361
6 Sn 0.3639 0.8639 0.5000
7 Sn 0.5000 0.3639 0.8639
8 Sn 0.5000 0.6361 0.1361
9 Sn 0.6361 0.1361 0.5000
10 Sn 0.8639 0.5000 0.3639
11 Br 0.0000 0.0000 0.0000
12 Br 0.0000 0.2891 0.2891
13 Br 0.0000 0.7109 0.7109
14 Br 0.0513 0.6423 0.2592
15 Br 0.2078 0.5910 0.9487
16 Br 0.2592 0.0513 0.6423
17 Br 0.2891 0.0000 0.2891
18 Br 0.2891 0.2891 0.0000
19 Br 0.3577 0.4090 0.6169
20 Br 0.3831 0.7922 0.7408
21 Br 0.4090 0.6169 0.3577
22 Br 0.5910 0.9487 0.2078
23 Br 0.6169 0.3577 0.4090
24 Br 0.6423 0.2592 0.0513
25 Br 0.7109 0.0000 0.7109
26 Br 0.7109 0.7109 0.0000
27 Br 0.7408 0.3831 0.7922
28 Br 0.7922 0.7408 0.3831
29 Br 0.9487 0.2078 0.5910

Largest 10 diffraction maxima, by angle, 10° ≤ 2θ ≤ 90°:
two_theta, I/Imax
17.0, 28.1
22.0, 32.8
26.1, 54.5
29.6, 92.2
35.8, 100.0
38.6, 17.3
42.4, 30.5
50.5, 21.8
56.7, 28.8
62.5, 26.5